For CsP2Se8S, a cell relaxed with GGA-PBE gives the calculated powder diffractogram in this record (a wavelength of 1.5418 Å).
No peak broadening, texture or thermal motion is included.

Crystal structure
```
data_CsP2Se8S
_chemical_formula_sum 'Cs1 P2 Se8 S1'
_space_group_name_H-M_alt 'P 1'
_space_group_IT_number 1
_space_group_name_Hall 'P 1'
_cell_length_a 12.014
_cell_length_b 12.014
_cell_length_c 12.014
_cell_angle_alpha 29.39
_cell_angle_beta 29.39
_cell_angle_gamma 29.39
loop_
_atom_site_label
_atom_site_type_symbol
_atom_site_fract_x
_atom_site_fract_y
_atom_site_fract_z
Cs1 Cs 0.000 0.000 0.000
P1 P 0.234 0.234 0.234
P2 P 0.766 0.766 0.766
Se1 Se 0.133 0.420 0.804
Se2 Se 0.196 0.867 0.580
Se3 Se 0.297 0.297 0.297
Se4 Se 0.420 0.804 0.133
Se5 Se 0.580 0.196 0.867
Se6 Se 0.703 0.703 0.703
Se7 Se 0.804 0.133 0.420
Se8 Se 0.867 0.580 0.196
S1 S 0.500 0.500 0.500
```

Peak list (10 most intense, 2θ from 10° to 90°, by angle)
2theta	I (rel.)
19.7	38
23.2	39
24.7	21
30.3	100
31.0	18
33.3	69
35.6	20
43.3	16
49.7	20
52.0	33

For LaTiAu, a cell relaxed with GGA-PBE gives the calculated powder diffractogram in this record (a wavelength of 1.5418 Å).
No peak broadening, texture or thermal motion is included.

Crystal structure
```
data_LaTiAu
_chemical_formula_sum 'La2 Ti2 Au2'
_space_group_name_H-M_alt 'P 1'
_space_group_IT_number 1
_space_group_name_Hall 'P 1'
_cell_length_a 3.595
_cell_length_b 4.772
_cell_length_c 8.435
_cell_angle_alpha 90.00
_cell_angle_beta 102.06
_cell_angle_gamma 90.00
loop_
_atom_site_label
_atom_site_type_symbol
_atom_site_fract_x
_atom_site_fract_y
_atom_site_fract_z
La1 La 0.079 0.250 0.151
La2 La 0.921 0.750 0.849
Ti1 Ti 0.246 0.750 0.492
Ti2 Ti 0.754 0.250 0.508
Au1 Au 0.374 0.250 0.753
Au2 Au 0.626 0.750 0.247
```

Peak list (10 most intense, 2θ from 10° to 90°, by angle)
2theta	I (rel.)
21.5	83
28.6	26
31.6	58
35.2	99
35.3	100
37.7	98
43.8	24
59.3	25
64.9	31
66.5	31

For Li23Zn6, a cell relaxed with GGA-PBE gives the calculated powder diffractogram in this record (a wavelength of 1.5418 Å).
No peak broadening, texture or thermal motion is included.

Crystal structure
```
data_Li23Zn6
_chemical_formula_sum 'Li23 Zn6'
_space_group_name_H-M_alt 'P 1'
_space_group_IT_number 1
_space_group_name_Hall 'P 1'
_cell_length_a 9.310
_cell_length_b 9.310
_cell_length_c 9.310
_cell_angle_alpha 60.00
_cell_angle_beta 60.00
_cell_angle_gamma 60.00
loop_
_atom_site_label
_atom_site_type_symbol
_atom_site_fract_x
_atom_site_fract_y
_atom_site_fract_z
Li1 Li 0.000 0.000 0.000
Li2 Li 0.000 0.000 0.347
Li3 Li 0.000 0.000 0.653
Li4 Li 0.000 0.347 0.000
Li5 Li 0.000 0.347 0.653
Li6 Li 0.000 0.653 0.000
Li7 Li 0.000 0.653 0.347
Li8 Li 0.138 0.621 0.621
Li9 Li 0.250 0.250 0.250
Li10 Li 0.347 0.000 0.000
Li11 Li 0.347 0.000 0.653
Li12 Li 0.347 0.653 0.000
Li13 Li 0.379 0.379 0.379
Li14 Li 0.379 0.379 0.862
Li15 Li 0.379 0.862 0.379
Li16 Li 0.621 0.138 0.621
Li17 Li 0.621 0.621 0.138
Li18 Li 0.621 0.621 0.621
Li19 Li 0.653 0.000 0.000
Li20 Li 0.653 0.000 0.347
Li21 Li 0.653 0.347 0.000
Li22 Li 0.750 0.750 0.750
Li23 Li 0.862 0.379 0.379
Zn1 Zn 0.272 0.272 0.728
Zn2 Zn 0.272 0.728 0.272
Zn3 Zn 0.272 0.728 0.728
Zn4 Zn 0.728 0.272 0.272
Zn5 Zn 0.728 0.272 0.728
Zn6 Zn 0.728 0.728 0.272
```

Peak list (10 most intense, 2θ from 10° to 90°, by angle)
2theta	I (rel.)
13.4	34
19.1	28
23.4	100
27.1	50
35.4	18
38.7	47
45.7	48
53.5	12
61.4	14
74.6	13

For Li4CaNp3O12, a cell relaxed with GGA-PBE gives the calculated powder diffractogram in this record (a wavelength of 1.5418 Å).
No peak broadening, texture or thermal motion is included.

Crystal structure
```
data_Li4CaNp3O12
_chemical_formula_sum 'Li4 Ca1 Np3 O12'
_space_group_name_H-M_alt 'P 1'
_space_group_IT_number 1
_space_group_name_Hall 'P 1'
_cell_length_a 6.977
_cell_length_b 6.977
_cell_length_c 6.977
_cell_angle_alpha 106.61
_cell_angle_beta 106.61
_cell_angle_gamma 106.61
loop_
_atom_site_label
_atom_site_type_symbol
_atom_site_fract_x
_atom_site_fract_y
_atom_site_fract_z
Li1 Li 0.000 0.000 0.000
Li2 Li 0.000 0.438 0.562
Li3 Li 0.438 0.562 0.000
Li4 Li 0.562 0.000 0.438
Ca1 Ca 0.500 0.500 0.500
Np1 Np 0.055 0.945 0.500
Np2 Np 0.500 0.055 0.945
Np3 Np 0.945 0.500 0.055
O1 O 0.000 0.608 0.392
O2 O 0.000 0.835 0.165
O3 O 0.156 0.256 0.536
O4 O 0.165 0.000 0.835
O5 O 0.256 0.536 0.156
O6 O 0.392 0.000 0.608
O7 O 0.464 0.744 0.844
O8 O 0.536 0.156 0.256
O9 O 0.608 0.392 0.000
O10 O 0.744 0.844 0.464
O11 O 0.835 0.165 0.000
O12 O 0.844 0.464 0.744
```

Peak list (10 most intense, 2θ from 10° to 90°, by angle)
2theta	I (rel.)
14.5	18
15.8	83
21.5	100
26.8	34
29.2	54
35.3	32
40.6	47
53.9	18
57.9	26
68.9	18

For CaNpCuO5, a cell relaxed with GGA-PBE gives the calculated powder diffractogram in this record (a wavelength of 1.5418 Å).
No peak broadening, texture or thermal motion is included.

Crystal structure
```
data_CaNpCuO5
_chemical_formula_sum 'Ca2 Np2 Cu2 O10'
_space_group_name_H-M_alt 'P 1'
_space_group_IT_number 1
_space_group_name_Hall 'P 1'
_cell_length_a 5.832
_cell_length_b 5.832
_cell_length_c 7.843
_cell_angle_alpha 105.36
_cell_angle_beta 105.36
_cell_angle_gamma 102.92
loop_
_atom_site_label
_atom_site_type_symbol
_atom_site_fract_x
_atom_site_fract_y
_atom_site_fract_z
Ca1 Ca 0.073 0.927 0.750
Ca2 Ca 0.927 0.073 0.250
Np1 Np 0.000 0.500 0.000
Np2 Np 0.500 0.000 0.500
Cu1 Cu 0.467 0.533 0.750
Cu2 Cu 0.533 0.467 0.250
O1 O 0.179 0.821 0.250
O2 O 0.203 0.270 0.075
O3 O 0.228 0.643 0.888
O4 O 0.270 0.203 0.575
O5 O 0.357 0.772 0.612
O6 O 0.643 0.228 0.388
O7 O 0.730 0.797 0.425
O8 O 0.772 0.357 0.112
O9 O 0.797 0.730 0.925
O10 O 0.821 0.179 0.750
```

Peak list (10 most intense, 2θ from 10° to 90°, by angle)
2theta	I (rel.)
17.0	100
19.5	19
24.1	84
28.1	43
31.9	44
32.6	41
33.6	30
35.8	18
38.8	17
44.8	16

For PaBeInO6, a cell relaxed with GGA-PBE gives the calculated powder diffractogram in this record (a wavelength of 1.5418 Å).
No peak broadening, texture or thermal motion is included.

Crystal structure
```
data_PaBeInO6
_chemical_formula_sum 'Pa1 Be1 In1 O6'
_space_group_name_H-M_alt 'P 1'
_space_group_IT_number 1
_space_group_name_Hall 'P 1'
_cell_length_a 5.150
_cell_length_b 5.150
_cell_length_c 4.748
_cell_angle_alpha 90.00
_cell_angle_beta 90.00
_cell_angle_gamma 120.00
loop_
_atom_site_label
_atom_site_type_symbol
_atom_site_fract_x
_atom_site_fract_y
_atom_site_fract_z
Pa1 Pa 0.000 0.000 0.000
Be1 Be 0.667 0.333 0.500
In1 In 0.333 0.667 0.500
O1 O 0.363 0.044 0.727
O2 O 0.363 0.319 0.273
O3 O 0.681 0.044 0.273
O4 O 0.681 0.637 0.727
O5 O 0.956 0.319 0.727
O6 O 0.956 0.637 0.273
```

Peak list (10 most intense, 2θ from 10° to 90°, by angle)
2theta	I (rel.)
19.9	37
27.4	100
34.8	27
43.2	13
44.9	27
52.4	28
58.1	25
62.2	10
62.5	9
80.2	10